(1)
This entry pairs a crystal structure of KAg with its theoretical powder diffraction line list. Radiation: Cu Kα X-rays. Structure: a DFT-relaxed cell (GGA-PBE, Alexandria).
Kinematic intensities with the Lorentz-polarization factor, no thermal factor.

Crystal structure
a b c (Å): 8.653 8.653 8.653
angles (deg): 109.47 109.47 109.47
Element x y z (fractional)
K1 0.000 0.000 0.586
K2 0.000 0.586 0.000
K3 0.414 0.414 0.414
K4 0.586 0.000 0.000
Ag1 0.000 0.000 0.203
Ag2 0.000 0.203 0.000
Ag3 0.203 0.000 0.000
Ag4 0.797 0.797 0.797

Top 6 peaks for 2θ from 10° to 90°, by intensity:
d/Å  Position (°2θ)  Rel. int.
7.066  12.5  100
2.671  33.6  36
2.355  38.2  16
2.130  42.4  13
2.884  31.0  12
1.960  46.3  10

(2)
This entry pairs a crystal structure of Zn2GaPt5 with its theoretical powder diffraction line list. Radiation: Cu Kα X-rays. Structure: a DFT-relaxed cell (GGA-PBE, Alexandria).
Kinematic intensities with the Lorentz-polarization factor, no thermal factor.

Crystal structure
a b c (Å): 5.514 10.755 4.053
angles (deg): 90.00 90.00 90.00
Element x y z (fractional)
Zn1 0.183 0.140 0.000
Zn2 0.317 0.640 0.000
Zn3 0.683 0.360 0.000
Zn4 0.817 0.860 0.000
Ga1 0.000 0.500 0.500
Ga2 0.500 0.000 0.500
Pt1 0.000 0.000 0.500
Pt2 0.066 0.739 0.500
Pt3 0.200 0.392 0.000
Pt4 0.300 0.892 0.000
Pt5 0.434 0.239 0.500
Pt6 0.500 0.500 0.500
Pt7 0.566 0.761 0.500
Pt8 0.700 0.108 0.000
Pt9 0.800 0.608 0.000
Pt10 0.934 0.261 0.500

Top 6 peaks for 2θ from 10° to 90°, by intensity:
d/Å  Position (°2θ)  Rel. int.
2.241  40.2  100
2.280  39.5  73
2.027  44.7  41
2.230  40.4  41
1.925  47.2  40
1.396  67.1  29